Entry 1:
Computed powder XRD pattern
Compound: CaCuP
Radiation: copper Kα
Structure: DFT lattice parameters and positions (PBE)
Intensities are scaled so that the largest is 100.

Peak list (10 most intense, 2θ = 10–90°, by intensity)
2θ 27.24, d = 3.274 Å, intensity 100, (1 0 1)
2θ 14.96, d = 5.924 Å, intensity 91, (0 0 1)
2θ 41.68, d = 2.167 Å, intensity 60, (1 2 0)
2θ 38.05, d = 2.365 Å, intensity 51, (1 0 2)
2θ 37.81, d = 2.379 Å, intensity 47, (0 2 1)
2θ 46.50, d = 1.953 Å, intensity 44, (0 2 2)
2θ 44.52, d = 2.035 Å, intensity 39, (1 2 1)
2θ 67.63, d = 1.385 Å, intensity 36, (2 2 2)
2θ 41.97, d = 2.153 Å, intensity 36, (1 1 2)
2θ 46.22, d = 1.964 Å, intensity 36, (2 0 0)

Cell and atoms:
```
data_CaCuP
_chemical_formula_sum 'Ca2 Cu2 P2'
_symmetry_space_group_name_H-M 'P m m 2'
_symmetry_Int_Tables_number 25
_cell_length_a 3.929
_cell_length_b 5.196
_cell_length_c 5.924
_cell_angle_alpha 90.00
_cell_angle_beta 90.00
_cell_angle_gamma 90.00
loop_
_symmetry_equiv_pos_as_xyz
'x,y,z'
'-x,-y,z'
'-x,y,z'
'x,-y,z'
loop_
_atom_site_label
_atom_site_type_symbol
_atom_site_fract_x
_atom_site_fract_y
_atom_site_fract_z
_atom_site_occupancy
Ca1 Ca 0.000 0.000 0.000 1
Ca2 Ca 0.000 0.500 0.351 1
Cu1 Cu 0.500 0.263 0.682 1
P1 P 0.000 0.500 0.834 1
P2 P 0.500 0.000 0.372 1
```

***

Entry 2:
Computed powder XRD pattern
Compound: Ca2CuP2
Radiation: copper Kα
Structure: DFT lattice parameters and positions (PBE)
Intensities are scaled so that the largest is 100.

Peak list (10 most intense, 2θ = 10–90°, by intensity)
2θ 32.43, d = 2.760 Å, intensity 100, (1 1 2)
2θ 44.45, d = 2.038 Å, intensity 71, (3 1 -4)
2θ 33.53, d = 2.673 Å, intensity 64, (3 1 -1)
2θ 33.99, d = 2.638 Å, intensity 54, (4 0 -2)
2θ 45.14, d = 2.009 Å, intensity 44, (0 2 0)
2θ 46.47, d = 1.954 Å, intensity 26, (4 0 2)
2θ 38.01, d = 2.367 Å, intensity 25, (0 0 4)
2θ 26.80, d = 3.326 Å, intensity 24, (1 1 1)
2θ 67.38, d = 1.390 Å, intensity 23, (1 1 6)
2θ 38.65, d = 2.329 Å, intensity 22, (3 1 1)

Cell and atoms:
```
data_Ca2CuP2
_chemical_formula_sum 'Ca8 Cu4 P8'
_symmetry_space_group_name_H-M 'C 1 2/m 1'
_symmetry_Int_Tables_number 12
_cell_length_a 10.742
_cell_length_b 4.017
_cell_length_c 10.115
_cell_angle_alpha 90.00
_cell_angle_beta 110.59
_cell_angle_gamma 90.00
loop_
_symmetry_equiv_pos_as_xyz
'x,y,z'
'-x,-y,-z'
'-x,y,-z'
'x,-y,z'
'x+1/2,y+1/2,z'
'-x+1/2,-y+1/2,-z'
'-x+1/2,y+1/2,-z'
'x+1/2,-y+1/2,z'
loop_
_atom_site_label
_atom_site_type_symbol
_atom_site_fract_x
_atom_site_fract_y
_atom_site_fract_z
_atom_site_occupancy
Ca1 Ca 0.091 0.000 0.409 1
Ca2 Ca 0.199 0.500 0.148 1
Cu1 Cu 0.075 0.500 0.823 1
P1 P 0.043 0.000 0.913 1
P2 P 0.158 0.500 0.643 1
```

***

Entry 3:
Computed powder XRD pattern
Compound: CaCu3P
Radiation: copper Kα
Structure: DFT lattice parameters and positions (PBE)
Intensities are scaled so that the largest is 100.

Peak list (10 most intense, 2θ = 10–90°, by intensity)
2θ 34.87, d = 2.573 Å, intensity 100, (1 1 1)
2θ 40.48, d = 2.228 Å, intensity 79, (2 0 0)
2θ 58.59, d = 1.576 Å, intensity 49, (2 2 0)
2θ 70.02, d = 1.344 Å, intensity 34, (3 1 1)
2θ 19.92, d = 4.456 Å, intensity 22, (1 0 0)
2θ 73.63, d = 1.286 Å, intensity 16, (2 2 2)
2θ 45.51, d = 1.993 Å, intensity 10, (2 1 0)
2θ 87.57, d = 1.114 Å, intensity 7, (4 0 0)
2θ 62.53, d = 1.485 Å, intensity 4, (3 0 0)
2θ 77.18, d = 1.236 Å, intensity 2, (3 2 0)

Cell and atoms:
```
data_CaCu3P
_chemical_formula_sum 'Ca1 Cu3 P1'
_symmetry_space_group_name_H-M 'P m -3 m'
_symmetry_Int_Tables_number 221
_symmetry_space_group_name_Hall '-P 4 2 3'
_cell_length_a 4.456
_cell_length_b 4.456
_cell_length_c 4.456
_cell_angle_alpha 90.00
_cell_angle_beta 90.00
_cell_angle_gamma 90.00
loop_
_atom_site_label
_atom_site_type_symbol
_atom_site_fract_x
_atom_site_fract_y
_atom_site_fract_z
_atom_site_occupancy
Ca1 Ca 0.000 0.000 0.000 1
Cu1 Cu 0.000 0.500 0.500 1
P1 P 0.500 0.500 0.500 1
```

***

Entry 4:
Computed powder XRD pattern
Compound: Ca3U2CuP6
Radiation: copper Kα
Structure: DFT lattice parameters and positions (PBE)
Intensities are scaled so that the largest is 100.

Peak list (10 most intense, 2θ = 10–90°, by intensity)
2θ 31.76, d = 2.817 Å, intensity 100, (1 3 1)
2θ 13.47, d = 6.576 Å, intensity 64, (0 0 1)
2θ 27.51, d = 3.242 Å, intensity 44, (2 0 0)
2θ 45.78, d = 1.982 Å, intensity 36, (0 6 0)
2θ 26.35, d = 3.382 Å, intensity 33, (1 3 0)
2θ 45.31, d = 2.001 Å, intensity 23, (1 3 -3)
2θ 27.13, d = 3.287 Å, intensity 19, (0 0 2)
2θ 56.79, d = 1.621 Å, intensity 18, (4 0 0)
2θ 41.46, d = 2.178 Å, intensity 16, (1 3 2)
2θ 34.64, d = 2.590 Å, intensity 13, (2 0 1)

Cell and atoms:
```
data_Ca3U2CuP6
_chemical_formula_sum 'Ca6 U4 Cu2 P12'
_symmetry_space_group_name_H-M 'C 1 2/m 1'
_symmetry_Int_Tables_number 12
_cell_length_a 6.867
_cell_length_b 11.890
_cell_length_c 6.957
_cell_angle_alpha 90.00
_cell_angle_beta 109.04
_cell_angle_gamma 90.00
loop_
_symmetry_equiv_pos_as_xyz
'x,y,z'
'-x,-y,-z'
'-x,y,-z'
'x,-y,z'
'x+1/2,y+1/2,z'
'-x+1/2,-y+1/2,-z'
'-x+1/2,y+1/2,-z'
'x+1/2,-y+1/2,z'
loop_
_atom_site_label
_atom_site_type_symbol
_atom_site_fract_x
_atom_site_fract_y
_atom_site_fract_z
_atom_site_occupancy
Ca1 Ca 0.000 0.000 0.000 1
Ca2 Ca 0.000 0.337 0.000 1
U1 U 0.000 0.167 0.500 1
Cu1 Cu 0.000 0.500 0.500 1
P1 P 0.234 0.000 0.721 1
P2 P 0.244 0.330 0.721 1
```

***

Entry 5:
Computed powder XRD pattern
Compound: CaPaCuSe4
Radiation: copper Kα
Structure: DFT lattice parameters and positions (PBE)
Intensities are scaled so that the largest is 100.

Peak list (10 most intense, 2θ = 10–90°, by intensity)
2θ 31.13, d = 2.873 Å, intensity 100, (1 3 0)
2θ 30.72, d = 2.911 Å, intensity 99, (2 2 0)
2θ 17.52, d = 5.063 Å, intensity 93, (1 1 1)
2θ 34.98, d = 2.565 Å, intensity 78, (0 0 4)
2θ 17.29, d = 5.130 Å, intensity 64, (0 0 2)
2θ 47.52, d = 1.913 Å, intensity 60, (1 3 4)
2θ 47.23, d = 1.924 Å, intensity 60, (2 2 4)
2θ 23.91, d = 3.721 Å, intensity 58, (2 0 0)
2θ 35.46, d = 2.531 Å, intensity 51, (2 2 2)
2θ 30.31, d = 2.949 Å, intensity 34, (1 1 3)

Cell and atoms:
```
data_CaPaCuSe4
_chemical_formula_sum 'Ca4 Pa4 Cu4 Se16'
_symmetry_space_group_name_H-M 'C m c m'
_symmetry_Int_Tables_number 63
_symmetry_space_group_name_Hall '-C 2c 2'
_cell_length_a 7.442
_cell_length_b 9.343
_cell_length_c 10.260
_cell_angle_alpha 90.00
_cell_angle_beta 90.00
_cell_angle_gamma 90.00
loop_
_atom_site_label
_atom_site_type_symbol
_atom_site_fract_x
_atom_site_fract_y
_atom_site_fract_z
_atom_site_occupancy
Ca1 Ca 0.000 0.000 0.000 1
Pa1 Pa 0.000 0.300 0.250 1
Cu1 Cu 0.000 0.346 0.750 1
Se1 Se 0.000 0.301 0.507 1
Se2 Se 0.223 0.022 0.250 1
```

***

Entry 6:
Computed powder XRD pattern
Compound: CaCuPdPb
Radiation: copper Kα
Structure: DFT lattice parameters and positions (PBE)
Intensities are scaled so that the largest is 100.

Peak list (10 most intense, 2θ = 10–90°, by intensity)
2θ 36.85, d = 2.439 Å, intensity 100, (2 2 0)
2θ 22.32, d = 3.983 Å, intensity 35, (1 1 1)
2θ 66.39, d = 1.408 Å, intensity 35, (4 2 2)
2θ 43.51, d = 2.080 Å, intensity 20, (3 1 1)
2θ 53.11, d = 1.725 Å, intensity 17, (4 0 0)
2θ 89.95, d = 1.091 Å, intensity 16, (6 2 0)
2θ 78.42, d = 1.219 Å, intensity 11, (4 4 0)
2θ 58.30, d = 1.583 Å, intensity 9, (3 3 1)
2θ 82.78, d = 1.166 Å, intensity 7, (5 3 1)
2θ 71.00, d = 1.328 Å, intensity 7, (5 1 1)

Cell and atoms:
```
data_CaCuPdPb
_chemical_formula_sum 'Ca4 Cu4 Pd4 Pb4'
_symmetry_space_group_name_H-M 'F -4 3 m'
_symmetry_Int_Tables_number 216
_symmetry_space_group_name_Hall 'F -4 2 3'
_cell_length_a 6.898
_cell_length_b 6.898
_cell_length_c 6.898
_cell_angle_alpha 90.00
_cell_angle_beta 90.00
_cell_angle_gamma 90.00
loop_
_atom_site_label
_atom_site_type_symbol
_atom_site_fract_x
_atom_site_fract_y
_atom_site_fract_z
_atom_site_occupancy
Ca1 Ca 0.000 0.000 0.000 1
Cu1 Cu 0.250 0.250 0.250 1
Pd1 Pd 0.250 0.250 0.750 1
Pb1 Pb 0.000 0.000 0.500 1
```

***

Entry 7:
Computed powder XRD pattern
Compound: CaCu8Pd3
Radiation: copper Kα
Structure: DFT lattice parameters and positions (PBE)
Intensities are scaled so that the largest is 100.

Peak list (10 most intense, 2θ = 10–90°, by intensity)
2θ 43.15, d = 2.096 Å, intensity 100, (1 1 2)
2θ 43.95, d = 2.060 Å, intensity 80, (0 2 1)
2θ 39.89, d = 2.260 Å, intensity 79, (1 0 3)
2θ 36.50, d = 2.462 Å, intensity 39, (1 1 0)
2θ 67.97, d = 1.379 Å, intensity 29, (2 1 3)
2θ 74.11, d = 1.279 Å, intensity 26, (0 2 5)
2θ 77.55, d = 1.231 Å, intensity 24, (2 2 0)
2θ 70.29, d = 1.339 Å, intensity 22, (0 3 2)
2θ 11.06, d = 7.996 Å, intensity 15, (0 0 1)
2θ 45.37, d = 1.999 Å, intensity 15, (0 0 4)

Cell and atoms:
```
data_CaCu8Pd3
_chemical_formula_sum 'Ca1 Cu8 Pd3'
_symmetry_space_group_name_H-M 'P 3 m 1'
_symmetry_Int_Tables_number 156
_cell_length_a 4.9237
_cell_length_b 4.9237
_cell_length_c 7.9963
_cell_angle_alpha 90.00
_cell_angle_beta 90.00
_cell_angle_gamma 120.00
loop_
_symmetry_equiv_pos_as_xyz
'x,y,z'
'-y,x-y,z'
'-x+y,-x,z'
'-y,-x,z'
'-x+y,y,z'
'x,x-y,z'
loop_
_atom_site_label
_atom_site_type_symbol
_atom_site_fract_x
_atom_site_fract_y
_atom_site_fract_z
_atom_site_occupancy
Ca1 Ca 0.0000 0.0000 0.0000 1
Cu1 Cu 0.1650 0.3301 0.6763 1
Cu2 Cu 0.3333 0.6667 0.4329 1
Cu3 Cu 0.3333 0.6667 0.9335 1
Cu4 Cu 0.5034 0.0069 0.1938 1
Pd1 Pd 0.0000 0.0000 0.3818 1
Pd2 Pd 0.6667 0.3333 0.4994 1
Pd3 Pd 0.6667 0.3333 0.8619 1
```

***

Entry 8:
Computed powder XRD pattern
Compound: Ca3Cu3Pd
Radiation: copper Kα
Structure: DFT lattice parameters and positions (PBE)
Intensities are scaled so that the largest is 100.

Peak list (10 most intense, 2θ = 10–90°, by intensity)
2θ 39.88, d = 2.260 Å, intensity 100, (3 1 2)
2θ 31.82, d = 2.812 Å, intensity 69, (1 1 3)
2θ 16.88, d = 5.253 Å, intensity 66, (2 0 -1)
2θ 42.21, d = 2.141 Å, intensity 64, (0 2 0)
2θ 22.64, d = 3.928 Å, intensity 52, (1 1 0)
2θ 37.33, d = 2.409 Å, intensity 50, (3 1 -4)
2θ 32.23, d = 2.778 Å, intensity 48, (1 1 -4)
2θ 40.10, d = 2.249 Å, intensity 38, (4 0 -5)
2θ 33.29, d = 2.691 Å, intensity 37, (3 1 -2)
2θ 39.20, d = 2.298 Å, intensity 27, (0 0 6)

Cell and atoms:
```
data_Ca3Cu3Pd
_chemical_formula_sum 'Ca12 Cu12 Pd4'
_symmetry_space_group_name_H-M 'C 1 2/m 1'
_symmetry_Int_Tables_number 12
_cell_length_a 10.512
_cell_length_b 4.282
_cell_length_c 14.602
_cell_angle_alpha 90.00
_cell_angle_beta 109.20
_cell_angle_gamma 90.00
loop_
_symmetry_equiv_pos_as_xyz
'x,y,z'
'-x,-y,-z'
'-x,y,-z'
'x,-y,z'
'x+1/2,y+1/2,z'
'-x+1/2,-y+1/2,-z'
'-x+1/2,y+1/2,-z'
'x+1/2,-y+1/2,z'
loop_
_atom_site_label
_atom_site_type_symbol
_atom_site_fract_x
_atom_site_fract_y
_atom_site_fract_z
_atom_site_occupancy
Ca1 Ca 0.042 0.000 0.390 1
Ca2 Ca 0.107 0.000 0.923 1
Ca3 Ca 0.248 0.500 0.762 1
Cu1 Cu 0.044 0.500 0.228 1
Cu2 Cu 0.096 0.500 0.077 1
Cu3 Cu 0.126 0.500 0.538 1
Pd1 Pd 0.243 0.500 0.388 1
```

***

Entry 9:
Computed powder XRD pattern
Compound: CaPmCu
Radiation: copper Kα
Structure: DFT lattice parameters and positions (PBE)
Intensities are scaled so that the largest is 100.

Peak list (10 most intense, 2θ = 10–90°, by intensity)
2θ 13.95, d = 6.347 Å, intensity 100, (1 1 1)
2θ 31.52, d = 2.838 Å, intensity 92, (3 3 1)
2θ 36.57, d = 2.457 Å, intensity 88, (2 4 2)
2θ 24.73, d = 3.600 Å, intensity 32, (2 0 2)
2θ 39.30, d = 2.292 Å, intensity 27, (5 1 1)
2θ 49.03, d = 1.858 Å, intensity 27, (5 1 3)
2θ 32.59, d = 2.748 Å, intensity 26, (4 2 0)
2θ 40.18, d = 2.244 Å, intensity 23, (0 0 4)
2θ 26.51, d = 3.362 Å, intensity 22, (0 4 0)
2θ 19.79, d = 4.486 Å, intensity 20, (2 2 0)

Cell and atoms:
```
data_CaPmCu
_chemical_formula_sum 'Ca16 Pm16 Cu16'
_symmetry_space_group_name_H-M 'F d d 2'
_symmetry_Int_Tables_number 43
_symmetry_space_group_name_Hall 'F 2 -2d'
_cell_length_a 12.043
_cell_length_b 13.449
_cell_length_c 8.980
_cell_angle_alpha 90.00
_cell_angle_beta 90.00
_cell_angle_gamma 90.00
loop_
_atom_site_label
_atom_site_type_symbol
_atom_site_fract_x
_atom_site_fract_y
_atom_site_fract_z
_atom_site_occupancy
Ca1 Ca 0.094 0.372 0.000 1
Pm1 Pm 0.024 0.370 0.585 1
Cu1 Cu 0.057 0.268 0.307 1
```

***

Entry 10:
Computed powder XRD pattern
Compound: CaPm2Cu2
Radiation: copper Kα
Structure: DFT lattice parameters and positions (PBE)
Intensities are scaled so that the largest is 100.

Peak list (10 most intense, 2θ = 10–90°, by intensity)
2θ 29.06, d = 3.073 Å, intensity 100, (1 1 -2)
2θ 15.93, d = 5.564 Å, intensity 96, (0 0 2)
2θ 27.59, d = 3.234 Å, intensity 77, (1 1 1)
2θ 39.65, d = 2.273 Å, intensity 73, (1 1 -4)
2θ 38.11, d = 2.361 Å, intensity 71, (0 2 0)
2θ 31.58, d = 2.833 Å, intensity 58, (1 0 3)
2θ 30.65, d = 2.917 Å, intensity 57, (0 1 3)
2θ 43.46, d = 2.082 Å, intensity 48, (1 1 4)
2θ 40.04, d = 2.252 Å, intensity 46, (2 0 -3)
2θ 35.02, d = 2.562 Å, intensity 38, (2 0 0)

Cell and atoms:
```
data_CaPm2Cu2
_chemical_formula_sum 'Ca2 Pm4 Cu4'
_symmetry_space_group_name_H-M 'P 1 21/m 1'
_symmetry_Int_Tables_number 11
_cell_length_a 5.170
_cell_length_b 4.723
_cell_length_c 11.228
_cell_angle_alpha 90.00
_cell_angle_beta 97.62
_cell_angle_gamma 90.00
loop_
_symmetry_equiv_pos_as_xyz
'x,y,z'
'-x,-y,-z'
'-x,y+1/2,-z'
'x,-y+1/2,z'
loop_
_atom_site_label
_atom_site_type_symbol
_atom_site_fract_x
_atom_site_fract_y
_atom_site_fract_z
_atom_site_occupancy
Ca1 Ca 0.204 0.250 0.235 1
Pm1 Pm 0.245 0.750 0.496 1
Pm2 Pm 0.335 0.250 0.888 1
Cu1 Cu 0.126 0.750 0.005 1
Cu2 Cu 0.296 0.250 0.636 1
```

***

Entry 11:
Computed powder XRD pattern
Compound: CaPmCu2Sb2
Radiation: copper Kα
Structure: DFT lattice parameters and positions (PBE)
Intensities are scaled so that the largest is 100.

Peak list (10 most intense, 2θ = 10–90°, by intensity)
2θ 31.70, d = 2.823 Å, intensity 100, (0 1 2)
2θ 40.73, d = 2.215 Å, intensity 56, (1 1 0)
2θ 61.05, d = 1.518 Å, intensity 29, (1 1 4)
2θ 52.51, d = 1.743 Å, intensity 23, (2 0 2)
2θ 10.61, d = 8.336 Å, intensity 21, (0 0 1)
2θ 25.56, d = 3.485 Å, intensity 21, (1 0 1)
2θ 68.51, d = 1.370 Å, intensity 20, (1 2 2)
2θ 43.42, d = 2.084 Å, intensity 14, (0 0 4)
2θ 40.07, d = 2.250 Å, intensity 11, (0 1 3)
2θ 21.32, d = 4.168 Å, intensity 10, (0 0 2)

Cell and atoms:
```
data_CaPmCu2Sb2
_chemical_formula_sum 'Ca1 Pm1 Cu2 Sb2'
_symmetry_space_group_name_H-M 'P -3 m 1'
_symmetry_Int_Tables_number 164
_symmetry_space_group_name_Hall '-P 3 2"'
_cell_length_a 4.4301
_cell_length_b 4.4301
_cell_length_c 8.3363
_cell_angle_alpha 90.00
_cell_angle_beta 90.00
_cell_angle_gamma 120.00
loop_
_atom_site_label
_atom_site_type_symbol
_atom_site_fract_x
_atom_site_fract_y
_atom_site_fract_z
_atom_site_occupancy
Ca1 Ca 0.0000 0.0000 0.0000 1
Pm1 Pm 0.0000 0.0000 0.5000 1
Cu1 Cu 0.3333 0.6667 0.7220 1
Sb1 Sb 0.3333 0.6667 0.2467 1
```

***

Entry 12:
Computed powder XRD pattern
Compound: CaPm2Cu2Si2
Radiation: copper Kα
Structure: DFT lattice parameters and positions (PBE)
Intensities are scaled so that the largest is 100.

Peak list (10 most intense, 2θ = 10–90°, by intensity)
2θ 26.98, d = 3.305 Å, intensity 100, (1 0 4)
2θ 34.24, d = 2.619 Å, intensity 99, (0 1 8)
2θ 42.43, d = 2.130 Å, intensity 83, (1 1 0)
2θ 32.13, d = 2.786 Å, intensity 59, (1 0 7)
2θ 64.17, d = 1.451 Å, intensity 27, (1 1 15)
2θ 55.61, d = 1.653 Å, intensity 25, (2 0 8)
2θ 72.37, d = 1.306 Å, intensity 24, (1 2 8)
2θ 24.31, d = 3.662 Å, intensity 24, (1 0 1)
2θ 51.00, d = 1.791 Å, intensity 21, (0 2 4)
2θ 17.90, d = 4.956 Å, intensity 16, (0 0 6)

Cell and atoms:
```
data_CaPm2Cu2Si2
_chemical_formula_sum 'Ca3 Pm6 Cu6 Si6'
_symmetry_space_group_name_H-M 'R -3 m'
_symmetry_Int_Tables_number 166
_symmetry_space_group_name_Hall '-R 3 2"'
_cell_length_a 4.2609
_cell_length_b 4.2609
_cell_length_c 29.7358
_cell_angle_alpha 90.00
_cell_angle_beta 90.00
_cell_angle_gamma 120.00
loop_
_atom_site_label
_atom_site_type_symbol
_atom_site_fract_x
_atom_site_fract_y
_atom_site_fract_z
_atom_site_occupancy
Ca1 Ca 0.0000 0.0000 0.0000 1
Pm1 Pm 0.0000 0.0000 0.1234 1
Cu1 Cu 0.0000 0.0000 0.3987 1
Si1 Si 0.0000 0.0000 0.2640 1
```